# SrInP2O8
Simulated X-ray powder pattern, CuKα. Input: the PBE geometry in Alexandria.
Neutral-atom scattering factors, no anomalous dispersion.

abc: 5.2013 5.2013 7.3416
angles: 90.00 90.00 120.00
Fractional coordinates of all 12 atoms:
Sr1 0.0000 0.0000 0.0000
In1 0.0000 0.0000 0.5000
P1 0.3333 0.6667 0.7543
P2 0.6667 0.3333 0.2457
O1 0.1056 0.3482 0.6936
O2 0.2427 0.8944 0.6936
O3 0.3333 0.6667 0.9662
O4 0.3482 0.2427 0.3064
O5 0.6518 0.7573 0.6936
O6 0.6667 0.3333 0.0338
O7 0.7573 0.1056 0.3064
O8 0.8944 0.6518 0.3064

Largest 8 diffraction maxima, low angle first, 10° ≤ 2θ ≤ 80°:
2theta	Rel. int.
19.71	92
23.17	51
31.44	100
34.49	58
42.60	39
47.35	43
59.89	30
61.84	37

***

# Pa2InO7
Simulated X-ray powder pattern, CuKα. Input: the PBE geometry in Alexandria.
Neutral-atom scattering factors, no anomalous dispersion.

abc: 3.8451 3.8451 9.6844
angles: 90.00 90.00 120.00
Fractional coordinates of all 10 atoms:
Pa1 0.0000 0.0000 0.0000
Pa2 0.3333 0.6667 0.6460
In1 0.6667 0.3333 0.3328
O1 0.0000 0.0000 0.2383
O2 0.0000 0.0000 0.7127
O3 0.3333 0.6667 0.0931
O4 0.3333 0.6667 0.4128
O5 0.3333 0.6667 0.8633
O6 0.6667 0.3333 0.5731
O7 0.6667 0.3333 0.9806

Largest 8 diffraction maxima, low angle first, 10° ≤ 2θ ≤ 80°:
2theta	Rel. int.
27.63	36
28.34	100
32.64	54
46.37	36
47.28	36
54.83	16
55.64	31
56.04	16

***

# Rb4Pa3InO12
Simulated X-ray powder pattern, CuKα. Input: the PBE geometry in Alexandria.
Neutral-atom scattering factors, no anomalous dispersion.

abc: 7.6006 7.6006 7.6006
angles: 109.47 109.47 109.47
Fractional coordinates of all 20 atoms:
Rb1 0.0000 0.0000 0.5000
Rb2 0.0000 0.5000 0.0000
Rb3 0.5000 0.0000 0.0000
Rb4 0.5000 0.5000 0.5000
Pa1 0.0000 0.5000 0.5000
Pa2 0.5000 0.0000 0.5000
Pa3 0.5000 0.5000 0.0000
In1 0.0000 0.0000 0.0000
O1 0.0000 0.2580 0.2580
O2 0.0000 0.7420 0.7420
O3 0.2500 0.5000 0.7500
O4 0.2500 0.7500 0.5000
O5 0.2580 0.0000 0.2580
O6 0.2580 0.2580 0.0000
O7 0.5000 0.2500 0.7500
O8 0.5000 0.7500 0.2500
O9 0.7420 0.0000 0.7420
O10 0.7420 0.7420 0.0000
O11 0.7500 0.2500 0.5000
O12 0.7500 0.5000 0.2500

Largest 8 diffraction maxima, low angle first, 10° ≤ 2θ ≤ 80°:
2theta	Rel. int.
20.24	27
28.77	100
41.14	30
46.26	13
50.98	42
59.59	19
67.50	19
74.97	6

***

# YPaInO6
Simulated X-ray powder pattern, CuKα. Input: the PBE geometry in Alexandria.
Neutral-atom scattering factors, no anomalous dispersion.

abc: 5.6394 5.6394 4.7933
angles: 90.00 90.00 120.00
Fractional coordinates of all 9 atoms:
Y1 0.0000 0.0000 0.0000
Pa1 0.6667 0.3333 0.5000
In1 0.3333 0.6667 0.0000
O1 0.3497 0.0060 0.2446
O2 0.3497 0.3437 0.7554
O3 0.6563 0.0060 0.7554
O4 0.6563 0.6503 0.2446
O5 0.9940 0.3437 0.2446
O6 0.9940 0.6503 0.7554

Largest 8 diffraction maxima, low angle first, 10° ≤ 2θ ≤ 80°:
2theta	Rel. int.
18.16	17
26.05	100
31.73	41
41.50	29
49.94	36
53.17	29
56.53	14
72.52	11

***

# InSbPb2O6
Simulated X-ray powder pattern, CuKα. Input: the PBE geometry in Alexandria.
Neutral-atom scattering factors, no anomalous dispersion.

abc: 5.8475 5.8521 10.1289
angles: 90.00 125.24 90.00
Fractional coordinates of all 20 atoms:
In1 0.0000 0.0000 0.0000
In2 0.0000 0.5000 0.5000
Sb1 0.5000 0.0000 0.5000
Sb2 0.5000 0.5000 0.0000
Pb1 0.2568 0.0259 0.7512
Pb2 0.2568 0.4741 0.2512
Pb3 0.7432 0.5259 0.7488
Pb4 0.7432 0.9741 0.2488
O1 0.1889 0.0139 0.2608
O2 0.1889 0.4861 0.7608
O3 0.2646 0.7062 0.0377
O4 0.2646 0.7938 0.5377
O5 0.3353 0.2243 0.0369
O6 0.3353 0.2757 0.5369
O7 0.6647 0.7243 0.4631
O8 0.6647 0.7757 0.9631
O9 0.7354 0.2062 0.4623
O10 0.7354 0.2938 0.9623
O11 0.8111 0.5139 0.2392
O12 0.8111 0.9861 0.7392

Largest 8 diffraction maxima, low angle first, 10° ≤ 2θ ≤ 80°:
2theta	Rel. int.
21.48	6
30.56	100
37.67	6
43.77	25
49.26	3
54.33	42
63.63	15
72.22	16

***

# ZnIn2PbO6
Simulated X-ray powder pattern, CuKα. Input: the PBE geometry in Alexandria.
Neutral-atom scattering factors, no anomalous dispersion.

abc: 5.8632 5.8632 5.8632
angles: 56.52 56.52 56.52
Fractional coordinates of all 10 atoms:
Zn1 0.0000 0.0000 0.0000
In1 0.2813 0.2813 0.2813
In2 0.7796 0.7796 0.7796
Pb1 0.4939 0.4939 0.4939
O1 0.0883 0.6900 0.3797
O2 0.1806 0.5937 0.8882
O3 0.3797 0.0883 0.6900
O4 0.5937 0.8882 0.1806
O5 0.6900 0.3797 0.0883
O6 0.8882 0.1806 0.5937

Largest 8 diffraction maxima, low angle first, 10° ≤ 2θ ≤ 80°:
2theta	Rel. int.
19.42	25
22.08	20
30.58	100
32.25	93
45.03	40
49.57	33
56.46	39
57.50	28

***

# PmIn2TcO8
Simulated X-ray powder pattern, CuKα. Input: the PBE geometry in Alexandria.
Neutral-atom scattering factors, no anomalous dispersion.

abc: 4.9885 4.9885 6.6757
angles: 90.00 90.00 90.44
Fractional coordinates of all 12 atoms:
Pm1 0.0000 0.0000 0.0000
In1 0.5000 0.5000 0.2525
In2 0.5000 0.5000 0.7475
Tc1 0.0000 0.0000 0.5000
O1 0.1846 0.8154 0.2977
O2 0.1846 0.8154 0.7023
O3 0.2824 0.2824 0.5000
O4 0.3150 0.3150 0.0000
O5 0.6850 0.6850 0.0000
O6 0.7176 0.7176 0.5000
O7 0.8154 0.1846 0.2977
O8 0.8154 0.1846 0.7023

Largest 8 diffraction maxima, low angle first, 10° ≤ 2θ ≤ 80°:
2theta	Rel. int.
25.15	63
25.35	60
32.27	100
36.01	28
49.01	41
49.23	40
61.46	19
62.39	24

***

Copy entry 2 word for word.
# Pa2InO7
Simulated X-ray powder pattern, CuKα. Input: the PBE geometry in Alexandria.
Neutral-atom scattering factors, no anomalous dispersion.

abc: 3.8451 3.8451 9.6844
angles: 90.00 90.00 120.00
Fractional coordinates of all 10 atoms:
Pa1 0.0000 0.0000 0.0000
Pa2 0.3333 0.6667 0.6460
In1 0.6667 0.3333 0.3328
O1 0.0000 0.0000 0.2383
O2 0.0000 0.0000 0.7127
O3 0.3333 0.6667 0.0931
O4 0.3333 0.6667 0.4128
O5 0.3333 0.6667 0.8633
O6 0.6667 0.3333 0.5731
O7 0.6667 0.3333 0.9806

Largest 8 diffraction maxima, low angle first, 10° ≤ 2θ ≤ 80°:
2theta	Rel. int.
27.63	36
28.34	100
32.64	54
46.37	36
47.28	36
54.83	16
55.64	31
56.04	16